For YCo2BiMo, a crystal structure in Alexandria, relaxed with GGA-PBE gives the theoretical PXRD pattern in this record (λ = 1.5418 Å (Cu Kα)).

Crystal structure
```
data_YCo2BiMo
_chemical_formula_sum 'Y1 Co2 Bi1 Mo1'
_symmetry_space_group_name_H-M 'P 4/m m m'
_symmetry_Int_Tables_number 123
_symmetry_space_group_name_Hall '-P 4 2'
_cell_length_a 4.7830
_cell_length_b 4.7830
_cell_length_c 5.6847
_cell_angle_alpha 90.00
_cell_angle_beta 90.00
_cell_angle_gamma 90.00
loop_
_atom_site_label
_atom_site_type_symbol
_atom_site_fract_x
_atom_site_fract_y
_atom_site_fract_z
Y1 Y 0.0000 0.0000 0.0000
Co1 Co 0.0000 0.5000 0.5000
Bi1 Bi 0.0000 0.0000 0.5000
Mo1 Mo 0.5000 0.5000 0.0000
```

Peak list (10 most intense, 15° ≤ 2θ ≤ 90°, by angle)
two_theta  d [Å]  intensity  (hkl)
18.55  4.783  82  1 0 0
24.32  3.660  100  1 0 1
26.35  3.382  67  1 1 0
31.47  2.842  79  0 0 2
37.61  2.391  97  2 0 0
41.50  2.176  41  1 1 2
45.30  2.002  40  2 1 1
49.83  1.830  86  2 0 2
54.24  1.691  33  2 2 0
64.07  1.453  40  2 2 2